Simulated powder diffractogram
Compound: VNi3Se6
Radiation: Cu Kα (λ = 1.5418 Å)
Structure: a DFT-relaxed cell (PBE, Alexandria)

Largest 6 diffraction maxima, by angle, 2θ = 10–80°:
d (Å)	I/Imax
4.486	18.4
2.699	100.0
2.024	56.0
1.811	44.5
1.539	17.7
1.504	15.4

Crystal structure
Unit cell a=6.2736 b=6.2736 c=15.9001 alpha=90.00 beta=90.00 gamma=120.00
Space group R3 (No. 146, hexagonal axes)
Unique sites:
V 0.0000 0.0000 0.0000 (multiplicity 3)
Ni 0.0000 0.0000 0.3213 (multiplicity 3)
Ni 0.0000 0.0000 0.5074 (multiplicity 3)
Ni 0.0000 0.0000 0.8241 (multiplicity 3)
Se 0.0036 0.3177 0.4147 (multiplicity 9)
Se 0.0039 0.6785 0.9134 (multiplicity 9)

***

Simulated powder diffractogram
Compound: B2C
Radiation: Cu Kα (λ = 1.5418 Å)
Structure: a DFT-relaxed cell (PBE, Alexandria)

Largest 6 diffraction maxima, by angle, 2θ = 10–80°:
d (Å)	I/Imax
3.397	95.9
2.989	44.0
2.936	100.0
2.468	93.8
2.199	31.4
2.184	48.3

Crystal structure
Unit cell a=11.8612 b=2.7091 c=6.0579 alpha=90.00 beta=110.95 gamma=90.00
Space group Cm (No. 8)
Unique sites:
B 0.0000 0.0000 0.0000 (multiplicity 2)
B 0.0041 0.5000 0.4746 (multiplicity 2)
B 0.1527 0.0000 0.6819 (multiplicity 2)
B 0.1769 0.5000 0.2009 (multiplicity 2)
B 0.3094 0.5000 0.7349 (multiplicity 2)
B 0.3565 0.0000 0.2431 (multiplicity 2)
B 0.3611 0.5000 0.0378 (multiplicity 2)
B 0.4636 0.5000 0.2925 (multiplicity 2)
C 0.0603 0.5000 0.9593 (multiplicity 2)
C 0.0963 0.5000 0.7379 (multiplicity 2)
C 0.2397 0.0000 0.3300 (multiplicity 2)
C 0.2694 0.0000 0.5979 (multiplicity 2)

***

Simulated powder diffractogram
Compound: Lu5In4Ni2
Radiation: Cu Kα (λ = 1.5418 Å)
Structure: a DFT-relaxed cell (PBE, Alexandria)

Largest 6 diffraction maxima, by angle, 2θ = 10–80°:
d (Å)	I/Imax
2.608	100.0
2.524	88.0
2.509	39.7
2.402	65.6
2.385	30.8
1.776	26.4

Crystal structure
Unit cell a=7.8521 b=17.6384 c=3.5515 alpha=90.00 beta=90.00 gamma=90.00
Space group Pbam (No. 55)
Unique sites:
Lu 0.0000 0.0000 0.0000 (multiplicity 2)
Lu 0.1157 0.4114 0.0000 (multiplicity 4)
Lu 0.2479 0.2213 0.0000 (multiplicity 4)
In 0.0731 0.8488 0.5000 (multiplicity 4)
In 0.2055 0.5678 0.5000 (multiplicity 4)
Ni 0.0284 0.3038 0.5000 (multiplicity 4)

***

Simulated powder diffractogram
Compound: Tl6Hg23Cl
Radiation: Cu Kα (λ = 1.5418 Å)
Structure: a DFT-relaxed cell (PBE, Alexandria)

Largest 6 diffraction maxima, by angle, 2θ = 10–80°:
d (Å)	I/Imax
2.905	29.7
2.668	100.0
2.551	13.4
1.887	10.1
1.540	22.1
1.517	10.3

Crystal structure
Unit cell a=15.0931 b=15.0931 c=15.0931 alpha=90.00 beta=90.00 gamma=90.00
Space group Fm-3m (No. 225)
Unique sites:
Tl 0.0000 0.0000 0.2219 (multiplicity 24)
Hg 0.0000 0.0000 0.5000 (multiplicity 4)
Hg 0.0000 0.2500 0.2500 (multiplicity 24)
Hg 0.1202 0.1202 0.3798 (multiplicity 32)
Hg 0.1618 0.1618 0.1618 (multiplicity 32)
Cl 0.0000 0.0000 0.0000 (multiplicity 4)

***

Simulated powder diffractogram
Compound: CsMg14Ga
Radiation: Cu Kα (λ = 1.5418 Å)
Structure: a DFT-relaxed cell (PBE, Alexandria)

Largest 6 diffraction maxima, by angle, 2θ = 10–80°:
d (Å)	I/Imax
5.712	34.4
3.895	32.7
2.856	29.0
2.663	23.4
2.517	100.0
1.948	18.5

Crystal structure
Unit cell a=6.5957 b=6.5957 c=10.6513 alpha=90.00 beta=90.00 gamma=120.00
Space group P-6m2 (No. 187)
Unique sites:
Cs 0.0000 0.0000 0.0000 (multiplicity 1)
Mg 0.0103 0.5052 0.0000 (multiplicity 3)
Mg 0.1707 0.3414 0.2759 (multiplicity 6)
Mg 0.5074 0.0147 0.5000 (multiplicity 3)
Mg 0.6667 0.3333 0.2440 (multiplicity 2)
Ga 0.0000 0.0000 0.5000 (multiplicity 1)

***

Simulated powder diffractogram
Compound: K3CaMn2Cl9
Radiation: Cu Kα (λ = 1.5418 Å)
Structure: a DFT-relaxed cell (PBE, Alexandria)

Largest 6 diffraction maxima, by angle, 2θ = 10–80°:
d (Å)	I/Imax
5.169	37.9
3.640	21.0
2.976	36.8
2.584	100.0
1.835	30.0
1.820	31.3

Crystal structure
Unit cell a=7.2804 b=7.2804 c=9.0265 alpha=90.00 beta=90.00 gamma=120.00
Space group P-3m1 (No. 164)
Unique sites:
K 0.0000 0.0000 0.0000 (multiplicity 1)
K 0.3333 0.6667 0.6945 (multiplicity 2)
Ca 0.0000 0.0000 0.5000 (multiplicity 1)
Mn 0.3333 0.6667 0.1631 (multiplicity 2)
Cl 0.0000 0.5000 0.0000 (multiplicity 3)
Cl 0.1712 0.3424 0.3216 (multiplicity 6)